For TeH3SBr3, a GGA-PBE-relaxed structure gives the simulated X-ray diffraction stick pattern in this record (Cu Ka).
Intensities are scaled so that the largest is 100.

Atomic structure:
Lattice parameters (Å, degrees): 6.8233 9.3304 15.8576 89.14 78.93 85.48
Space group P1 (No. 1)
One atom of each set of equivalent atoms:
Te 0.0000 0.0000 0.0000 x1
Te 0.0123 0.3666 0.4667 x1
Te 0.7304 0.8450 0.5299 x1
Te 0.9813 0.4946 0.0031 x1
H 0.0815 0.9717 0.6664 x1
H 0.1092 0.8032 0.1871 x1
H 0.2059 0.8543 0.2937 x1
H 0.2138 0.5267 0.9023 x1
H 0.2792 0.0127 0.7471 x1
H 0.3725 0.6974 0.8357 x1
H 0.3825 0.9671 0.6159 x1
H 0.5339 0.5092 0.8517 x1
H 0.5849 0.3816 0.3282 x1
H 0.7086 0.5669 0.3141 x1
H 0.8749 0.3921 0.3702 x1
H 0.9070 0.8856 0.2936 x1
S 0.0921 0.9247 0.2419 x1
S 0.2374 0.0633 0.6622 x1
S 0.3696 0.5531 0.8165 x1
S 0.7595 0.4290 0.2848 x1
Br 0.1875 0.2322 0.0393 x1
Br 0.1885 0.6079 0.1176 x1
Br 0.2099 0.5877 0.4106 x1
Br 0.2780 0.1787 0.3816 x1
Br 0.3378 0.9456 0.8568 x1
Br 0.6327 0.8294 0.3628 x1
Br 0.6665 0.5618 0.5511 x1
Br 0.7154 0.0433 0.1378 x1
Br 0.7262 0.1492 0.5237 x1
Br 0.8211 0.7623 0.9532 x1
Br 0.8228 0.8421 0.6875 x1
Br 0.8319 0.3728 0.8793 x1

Peak list (8 most intense, 2θ = 10–90°, low angle first)
11.37°, intensity 100; 13.26°, intensity 36; 15.41°, intensity 26; 15.74°, intensity 51; 22.25°, intensity 42; 23.65°, intensity 23; 24.17°, intensity 45; 33.68°, intensity 24



For SbHBr2, a GGA-PBE-relaxed structure gives the simulated X-ray diffraction stick pattern in this record (Cu Ka).
Intensities are scaled so that the largest is 100.

Atomic structure:
Lattice parameters (Å, degrees): 5.2414 5.2414 16.2931 90.00 90.00 120.00
Space group R-3m (No. 166, hexagonal axes)
One atom of each set of equivalent atoms:
Sb 0.0000 0.0000 0.0000 x3
H 0.0000 0.0000 0.5000 x3
Br 0.0000 0.0000 0.3946 x6

Peak list (8 most intense, 2θ = 10–90°, low angle first)
16.32°, intensity 88; 22.42°, intensity 96; 33.86°, intensity 99; 34.21°, intensity 100; 38.13°, intensity 62; 48.91°, intensity 34; 49.02°, intensity 20; 61.04°, intensity 35



For TlSbHBr, a GGA-PBE-relaxed structure gives the simulated X-ray diffraction stick pattern in this record (Cu Ka).
Intensities are scaled so that the largest is 100.

Atomic structure:
Lattice parameters (Å, degrees): 7.3789 6.4452 5.9001 90.00 120.52 90.00
Space group Cm (No. 8)
One atom of each set of equivalent atoms:
Tl 0.0000 0.0000 0.0000 x2
Sb 0.4789 0.0000 0.0445 x2
H 0.2556 0.5000 0.2214 x2
Br 0.4968 0.0000 0.5612 x2

Peak list (8 most intense, 2θ = 10–90°, low angle first)
17.45°, intensity 100; 21.04°, intensity 60; 27.68°, intensity 96; 28.08°, intensity 90; 32.03°, intensity 55; 35.32°, intensity 45; 39.84°, intensity 71; 42.84°, intensity 50



For HSeBr, a GGA-PBE-relaxed structure gives the simulated X-ray diffraction stick pattern in this record (Cu Ka).
Intensities are scaled so that the largest is 100.

Atomic structure:
Lattice parameters (Å, degrees): 4.9465 6.1334 6.4766 61.83 82.35 69.32
Space group P-1 (No. 2)
One atom of each set of equivalent atoms:
H 0.0155 0.2002 0.1671 x2
Se 0.1876 0.8054 0.6366 x2
Br 0.3383 0.3041 0.8310 x2

Peak list (8 most intense, 2θ = 10–90°, low angle first)
21.65°, intensity 100; 24.28°, intensity 98; 25.29°, intensity 21; 27.98°, intensity 62; 35.20°, intensity 24; 38.05°, intensity 22; 44.50°, intensity 20; 45.16°, intensity 35



For HSeBr4, a GGA-PBE-relaxed structure gives the simulated X-ray diffraction stick pattern in this record (Cu Ka).
Intensities are scaled so that the largest is 100.

Atomic structure:
Lattice parameters (Å, degrees): 6.9839 7.4385 10.4955 74.70 71.02 70.94
Space group P-1 (No. 2)
One atom of each set of equivalent atoms:
H 0.1852 0.0248 0.3373 x2
Se 0.1947 0.5179 0.1036 x2
Br 0.0177 0.3728 0.3290 x2
Br 0.1245 0.2574 0.9499 x2
Br 0.2852 0.8191 0.3450 x2
Br 0.4357 0.6889 0.8565 x2

Peak list (8 most intense, 2θ = 10–90°, low angle first)
12.79°, intensity 74; 19.48°, intensity 63; 25.76°, intensity 32; 26.50°, intensity 100; 27.57°, intensity 34; 28.62°, intensity 59; 33.80°, intensity 62; 45.53°, intensity 38



For SiHSe2Br, a GGA-PBE-relaxed structure gives the simulated X-ray diffraction stick pattern in this record (Cu Ka).
Intensities are scaled so that the largest is 100.

Atomic structure:
Lattice parameters (Å, degrees): 4.0327 4.0327 5.8705 90.00 90.00 90.00
Space group P4/mmm (No. 123)
One atom of each set of equivalent atoms:
Si 0.0000 0.0000 0.0000 x1
H 0.5000 0.5000 0.5000 x1
Se 0.0000 0.5000 0.5000 x2
Br 0.5000 0.5000 0.0000 x1

Peak list (8 most intense, 2θ = 10–90°, low angle first)
30.45°, intensity 37; 34.98°, intensity 100; 44.96°, intensity 25; 55.27°, intensity 26; 57.08°, intensity 24; 73.90°, intensity 11; 76.43°, intensity 20; 81.04°, intensity 9



For SiH5Br4, a GGA-PBE-relaxed structure gives the simulated X-ray diffraction stick pattern in this record (Cu Ka).
Intensities are scaled so that the largest is 100.

Atomic structure:
Lattice parameters (Å, degrees): 7.8457 7.8457 7.4953 90.00 90.00 90.00
Space group I4 (No. 79)
One atom of each set of equivalent atoms:
Si 0.0000 0.0000 0.0000 x2
H 0.0000 0.0000 0.7996 x2
H 0.1326 0.8041 0.0667 x8
Br 0.1325 0.2855 0.5158 x8

Peak list (8 most intense, 2θ = 10–90°, low angle first)
22.67°, intensity 13; 23.74°, intensity 41; 28.08°, intensity 100; 33.06°, intensity 10; 36.21°, intensity 21; 43.76°, intensity 24; 44.52°, intensity 27; 60.26°, intensity 15



For SiHBr, a GGA-PBE-relaxed structure gives the simulated X-ray diffraction stick pattern in this record (Cu Ka).
Intensities are scaled so that the largest is 100.

Atomic structure:
Lattice parameters (Å, degrees): 5.3158 5.4949 5.6734 68.49 80.68 68.86
Space group P-1 (No. 2)
One atom of each set of equivalent atoms:
Si 0.1564 0.0577 0.1180 x2
H 0.0072 0.1696 0.8394 x2
Br 0.2365 0.6572 0.7289 x2

Peak list (8 most intense, 2θ = 10–90°, low angle first)
20.35°, intensity 45; 21.06°, intensity 100; 22.35°, intensity 86; 24.22°, intensity 80; 28.95°, intensity 86; 31.41°, intensity 43; 36.26°, intensity 38; 40.63°, intensity 39